This entry pairs a crystal structure of Na10B17C3 with its theoretical X-ray diffraction stick pattern. Radiation: copper Kα. Structure: the GGA-PBE geometry in Alexandria.
Neutral-atom scattering factors, no anomalous dispersion.

Cell and atoms:
```
data_Na10B17C3
_chemical_formula_sum 'Na10 B17 C3'
_space_group_name_H-M_alt 'P 3 m 1'
_space_group_IT_number 156
_space_group_name_Hall 'P 3 -2"'
_cell_length_a 2.9620
_cell_length_b 2.9620
_cell_length_c 43.0285
_cell_angle_alpha 90.00
_cell_angle_beta 90.00
_cell_angle_gamma 120.00
loop_
_atom_site_label
_atom_site_type_symbol
_atom_site_fract_x
_atom_site_fract_y
_atom_site_fract_z
_atom_site_occupancy
Na1 Na 0.0000 0.0000 0.0000 1
Na2 Na 0.0000 0.0000 0.0979 1
Na3 Na 0.0000 0.0000 0.1956 1
Na4 Na 0.0000 0.0000 0.2964 1
Na5 Na 0.0000 0.0000 0.3975 1
Na6 Na 0.0000 0.0000 0.4982 1
Na7 Na 0.0000 0.0000 0.5991 1
Na8 Na 0.0000 0.0000 0.6997 1
Na9 Na 0.0000 0.0000 0.7978 1
Na10 Na 0.0000 0.0000 0.8988 1
B1 B 0.3333 0.6667 0.1466 1
B2 B 0.3333 0.6667 0.2461 1
B3 B 0.3333 0.6667 0.3471 1
B4 B 0.3333 0.6667 0.4479 1
B5 B 0.3333 0.6667 0.5486 1
B6 B 0.3333 0.6667 0.6494 1
B7 B 0.3333 0.6667 0.7487 1
B8 B 0.3333 0.6667 0.8482 1
B9 B 0.3333 0.6667 0.9495 1
B10 B 0.6667 0.3333 0.0490 1
B11 B 0.6667 0.3333 0.2461 1
B12 B 0.6667 0.3333 0.3471 1
B13 B 0.6667 0.3333 0.4479 1
B14 B 0.6667 0.3333 0.5486 1
B15 B 0.6667 0.3333 0.6494 1
B16 B 0.6667 0.3333 0.8482 1
B17 B 0.6667 0.3333 0.9495 1
C1 C 0.3333 0.6667 0.0491 1
C2 C 0.6667 0.3333 0.1466 1
C3 C 0.6667 0.3333 0.7487 1
```

Principal peaks in the range 2θ = 10–90°, low angle first:
Position (°2θ), Rel. int.
35.0, 20
41.0, 100
42.0, 23
55.8, 10
62.7, 18
73.9, 2
76.0, 12
77.7, 12
78.4, 17
88.8, 2